Structure and simulated powder diffractogram of TmNbP2 (a structure optimized by DFT (GGA-PBE); Cu Ka).
No peak broadening, texture or thermal motion is included.

Cell and atoms:
Cell lengths 3.6545, 3.6545, 19.3713 Å; angles 90.00, 90.00, 120.00 degrees
Space group R3m (No. 160, hexagonal axes)
One atom of each set of equivalent atoms:
Tm 0.0000 0.0000 0.0000 (multiplicity 3)
Nb 0.0000 0.0000 0.8248 (multiplicity 3)
P 0.0000 0.0000 0.4190 (multiplicity 3)
P 0.0000 0.0000 0.5705 (multiplicity 3)

Peak list (10 most intense, 5° ≤ 2θ ≤ 70°, in order of falling intensity)
2θ (°)  d (Å)  I (rel.)
36.66  2.451  100.0
28.58  3.123  73.7
29.70  3.008  60.4
49.91  1.827  52.6
43.44  2.083  52.3
33.83  2.649  34.9
27.63  3.229  34.5
58.00  1.590  27.1
63.50  1.465  19.7
13.71  6.457  17.3

***

Structure and simulated powder diffractogram of Cs2Sr3DyF12 (a structure optimized by DFT (GGA-PBE); Cu Ka).
No peak broadening, texture or thermal motion is included.

Cell and atoms:
Cell lengths 8.5611, 8.5611, 21.5034 Å; angles 90.00, 90.00, 120.00 degrees
Space group R-3m (No. 166, hexagonal axes)
One atom of each set of equivalent atoms:
Cs 0.0000 0.0000 0.1009 (multiplicity 6)
Sr 0.0000 0.5000 0.0000 (multiplicity 9)
Dy 0.0000 0.0000 0.5000 (multiplicity 3)
F 0.0431 0.5216 0.3642 (multiplicity 18)
F 0.0946 0.5473 0.1071 (multiplicity 18)

Peak list (10 most intense, 5° ≤ 2θ ≤ 70°, in order of falling intensity)
2θ (°)  d (Å)  I (rel.)
23.92  3.720  100.0
24.22  3.675  94.0
25.41  3.505  85.9
42.22  2.140  53.0
38.34  2.348  44.1
20.75  4.281  43.4
41.50  2.176  37.1
49.11  1.855  35.6
14.51  6.104  34.3
24.36  3.653  32.7